1.
Theoretical powder X-ray diffraction pattern of CaAsO5 for Cu Kα, 1.54184 Å, from a cell relaxed with GGA-PBE.

Largest 10 diffraction maxima, by angle, 15 to 90 degrees two-theta:
17.0°, d = 5.223 Å, I = 26
17.8°, d = 4.984 Å, I = 86
20.6°, d = 4.315 Å, I = 27
21.4°, d = 4.153 Å, I = 28
27.3°, d = 3.262 Å, I = 78
28.9°, d = 3.089 Å, I = 100
29.7°, d = 3.007 Å, I = 24
31.4°, d = 2.847 Å, I = 62
44.6°, d = 2.031 Å, I = 36
55.7°, d = 1.650 Å, I = 24

```
data_CaAsO5
_chemical_formula_sum 'Ca8 As8 O40'
_symmetry_space_group_name_H-M 'P b c n'
_symmetry_Int_Tables_number 60
_symmetry_space_group_name_Hall '-P 2n 2ab'
_cell_length_a 6.561
_cell_length_b 8.629
_cell_length_c 15.326
_cell_angle_alpha 90.00
_cell_angle_beta 90.00
_cell_angle_gamma 90.00
loop_
_atom_site_label
_atom_site_type_symbol
_atom_site_fract_x
_atom_site_fract_y
_atom_site_fract_z
Ca1 Ca 0.139 0.191 0.036
As1 As 0.134 0.450 0.888
O1 O 0.030 0.301 0.593
O2 O 0.038 0.370 0.385
O3 O 0.044 0.030 0.786
O4 O 0.184 0.063 0.469
O5 O 0.237 0.096 0.286
```

2.
Theoretical powder X-ray diffraction pattern of Ca2As2O7 for Cu Kα, 1.54184 Å, from a cell relaxed with GGA-PBE.

Largest 10 diffraction maxima, by angle, 15 to 90 degrees two-theta:
18.8°, d = 4.724 Å, I = 33
25.4°, d = 3.506 Å, I = 13
26.0°, d = 3.424 Å, I = 53
26.2°, d = 3.396 Å, I = 100
28.2°, d = 3.169 Å, I = 53
31.8°, d = 2.816 Å, I = 35
45.0°, d = 2.015 Å, I = 15
51.1°, d = 1.789 Å, I = 23
61.8°, d = 1.501 Å, I = 14
63.3°, d = 1.470 Å, I = 13

```
data_Ca2As2O7
_chemical_formula_sum 'Ca4 As4 O14'
_symmetry_space_group_name_H-M 'C 1 2/m 1'
_symmetry_Int_Tables_number 12
_symmetry_space_group_name_Hall '-C 2y'
_cell_length_a 7.162
_cell_length_b 9.449
_cell_length_c 4.989
_cell_angle_alpha 90.00
_cell_angle_beta 101.70
_cell_angle_gamma 90.00
loop_
_atom_site_label
_atom_site_type_symbol
_atom_site_fract_x
_atom_site_fract_y
_atom_site_fract_z
Ca1 Ca 0.000 0.193 0.000
As1 As 0.226 0.500 0.408
O1 O 0.000 0.500 0.500
O2 O 0.117 0.000 0.286
O3 O 0.234 0.350 0.222
```

3.
Theoretical powder X-ray diffraction pattern of CaAsO5 for Cu Kα, 1.54184 Å, from a cell relaxed with GGA-PBE.

Largest 10 diffraction maxima, by angle, 15 to 90 degrees two-theta:
17.1°, d = 5.189 Å, I = 84
22.1°, d = 4.029 Å, I = 53
23.7°, d = 3.755 Å, I = 42
28.2°, d = 3.161 Å, I = 45
28.5°, d = 3.135 Å, I = 43
28.8°, d = 3.098 Å, I = 41
29.3°, d = 3.049 Å, I = 29
30.9°, d = 2.897 Å, I = 100
34.8°, d = 2.578 Å, I = 26
49.4°, d = 1.845 Å, I = 30

```
data_CaAsO5
_chemical_formula_sum 'Ca8 As8 O40'
_symmetry_space_group_name_H-M 'P b c n'
_symmetry_Int_Tables_number 60
_symmetry_space_group_name_Hall '-P 2n 2ab'
_cell_length_a 6.782
_cell_length_b 7.723
_cell_length_c 16.116
_cell_angle_alpha 90.00
_cell_angle_beta 90.00
_cell_angle_gamma 90.00
loop_
_atom_site_label
_atom_site_type_symbol
_atom_site_fract_x
_atom_site_fract_y
_atom_site_fract_z
Ca1 Ca 0.135 0.186 0.054
As1 As 0.158 0.429 0.885
O1 O 0.025 0.289 0.584
O2 O 0.048 0.375 0.362
O3 O 0.095 0.017 0.668
O4 O 0.195 0.064 0.473
O5 O 0.198 0.140 0.301
```

4.
Theoretical powder X-ray diffraction pattern of Ca3As2O19 for Cu Kα, 1.54184 Å, from a cell relaxed with GGA-PBE.

Largest 10 diffraction maxima, by angle, 15 to 90 degrees two-theta:
15.2°, d = 5.823 Å, I = 50
15.5°, d = 5.728 Å, I = 48
19.7°, d = 4.496 Å, I = 54
20.2°, d = 4.389 Å, I = 52
22.5°, d = 3.946 Å, I = 62
24.6°, d = 3.617 Å, I = 51
24.8°, d = 3.591 Å, I = 100
26.2°, d = 3.399 Å, I = 74
27.2°, d = 3.277 Å, I = 66
27.5°, d = 3.246 Å, I = 72

```
data_Ca3As2O19
_chemical_formula_sum 'Ca6 As4 O38'
_symmetry_space_group_name_H-M 'P -1'
_symmetry_Int_Tables_number 2
_symmetry_space_group_name_Hall '-P 1'
_cell_length_a 6.091
_cell_length_b 11.664
_cell_length_c 11.890
_cell_angle_alpha 70.58
_cell_angle_beta 85.93
_cell_angle_gamma 85.08
loop_
_atom_site_label
_atom_site_type_symbol
_atom_site_fract_x
_atom_site_fract_y
_atom_site_fract_z
Ca1 Ca 0.015 0.096 0.151
Ca2 Ca 0.177 0.560 0.825
Ca3 Ca 0.309 0.678 0.117
As1 As 0.243 0.158 0.731
As2 As 0.298 0.372 0.090
O1 O 0.027 0.186 0.941
O2 O 0.066 0.107 0.872
O3 O 0.089 0.280 0.163
O4 O 0.112 0.525 0.315
O5 O 0.132 0.712 0.568
O6 O 0.172 0.044 0.687
O7 O 0.174 0.516 0.078
O8 O 0.180 0.700 0.471
O9 O 0.248 0.305 0.659
O10 O 0.288 0.118 0.416
O11 O 0.299 0.464 0.357
O12 O 0.307 0.835 0.938
O13 O 0.327 0.041 0.360
O14 O 0.343 0.376 0.944
O15 O 0.384 0.978 0.132
O16 O 0.389 0.930 0.421
O17 O 0.460 0.866 0.188
O18 O 0.465 0.663 0.835
O19 O 0.478 0.520 0.301
```

5.
Theoretical powder X-ray diffraction pattern of Ca3As2O18 for Cu Kα, 1.54184 Å, from a cell relaxed with GGA-PBE.

Largest 10 diffraction maxima, by angle, 15 to 90 degrees two-theta:
18.7°, d = 4.757 Å, I = 82
22.3°, d = 3.985 Å, I = 40
22.6°, d = 3.939 Å, I = 58
24.2°, d = 3.677 Å, I = 50
26.0°, d = 3.421 Å, I = 100
27.2°, d = 3.273 Å, I = 76
28.3°, d = 3.155 Å, I = 82
29.3°, d = 3.053 Å, I = 53
31.3°, d = 2.858 Å, I = 47
35.9°, d = 2.505 Å, I = 38

```
data_Ca3As2O18
_chemical_formula_sum 'Ca6 As4 O36'
_symmetry_space_group_name_H-M 'P -1'
_symmetry_Int_Tables_number 2
_symmetry_space_group_name_Hall '-P 1'
_cell_length_a 5.957
_cell_length_b 10.332
_cell_length_c 12.051
_cell_angle_alpha 107.61
_cell_angle_beta 96.45
_cell_angle_gamma 101.99
loop_
_atom_site_label
_atom_site_type_symbol
_atom_site_fract_x
_atom_site_fract_y
_atom_site_fract_z
Ca1 Ca 0.067 0.280 0.425
Ca2 Ca 0.123 0.696 0.914
Ca3 Ca 0.333 0.639 0.332
As1 As 0.144 0.211 0.756
As2 As 0.346 0.590 0.633
O1 O 0.028 0.447 0.848
O2 O 0.042 0.330 0.885
O3 O 0.050 0.815 0.364
O4 O 0.084 0.937 0.764
O5 O 0.088 0.064 0.830
O6 O 0.169 0.660 0.726
O7 O 0.222 0.604 0.500
O8 O 0.228 0.960 0.031
O9 O 0.263 0.431 0.162
O10 O 0.313 0.137 0.479
O11 O 0.314 0.414 0.608
O12 O 0.342 0.888 0.559
O13 O 0.357 0.086 0.095
O14 O 0.364 0.325 0.322
O15 O 0.435 0.251 0.773
O16 O 0.441 0.096 0.397
O17 O 0.462 0.159 0.032
O18 O 0.486 0.448 0.016
```

6.
Theoretical powder X-ray diffraction pattern of Ca5As3O14 for Cu Kα, 1.54184 Å, from a cell relaxed with GGA-PBE.

Largest 10 diffraction maxima, by angle, 15 to 90 degrees two-theta:
21.9°, d = 4.054 Å, I = 42
25.4°, d = 3.507 Å, I = 29
30.3°, d = 2.951 Å, I = 84
31.2°, d = 2.867 Å, I = 100
32.9°, d = 2.718 Å, I = 16
39.9°, d = 2.259 Å, I = 15
44.7°, d = 2.027 Å, I = 26
47.9°, d = 1.899 Å, I = 38
53.2°, d = 1.720 Å, I = 21
59.9°, d = 1.545 Å, I = 17

```
data_Ca5As3O14
_chemical_formula_sum 'Ca10 As6 O28'
_symmetry_space_group_name_H-M 'P 63/m'
_symmetry_Int_Tables_number 176
_symmetry_space_group_name_Hall '-P 6c'
_cell_length_a 9.9367
_cell_length_b 9.9367
_cell_length_c 7.0143
_cell_angle_alpha 90.00
_cell_angle_beta 90.00
_cell_angle_gamma 120.00
loop_
_atom_site_label
_atom_site_type_symbol
_atom_site_fract_x
_atom_site_fract_y
_atom_site_fract_z
Ca1 Ca 0.0070 0.7578 0.2500
Ca2 Ca 0.3333 0.6667 0.5016
As1 As 0.0271 0.3993 0.2500
O1 O 0.0000 0.0000 0.0951
O2 O 0.0920 0.3419 0.0561
O3 O 0.1293 0.6005 0.2500
O4 O 0.1706 0.6769 0.7500
```

7.
Theoretical powder X-ray diffraction pattern of CaAsO6 for Cu Kα, 1.54184 Å, from a cell relaxed with GGA-PBE.

Largest 10 diffraction maxima, by angle, 15 to 90 degrees two-theta:
17.3°, d = 5.131 Å, I = 38
22.3°, d = 3.992 Å, I = 100
25.4°, d = 3.512 Å, I = 17
29.7°, d = 3.007 Å, I = 29
31.9°, d = 2.804 Å, I = 43
32.2°, d = 2.778 Å, I = 32
35.1°, d = 2.559 Å, I = 21
37.6°, d = 2.390 Å, I = 17
41.9°, d = 2.154 Å, I = 15
47.9°, d = 1.898 Å, I = 13

```
data_CaAsO6
_chemical_formula_sum 'Ca4 As4 O24'
_symmetry_space_group_name_H-M 'C 1 c 1'
_symmetry_Int_Tables_number 9
_symmetry_space_group_name_Hall 'C -2yc'
_cell_length_a 6.699
_cell_length_b 13.651
_cell_length_c 5.934
_cell_angle_alpha 90.00
_cell_angle_beta 123.97
_cell_angle_gamma 90.00
loop_
_atom_site_label
_atom_site_type_symbol
_atom_site_fract_x
_atom_site_fract_y
_atom_site_fract_z
Ca1 Ca 0.000 0.090 0.000
As1 As 0.486 0.092 0.044
O1 O 0.002 0.227 0.330
O2 O 0.009 0.323 0.292
O3 O 0.242 0.019 0.852
O4 O 0.254 0.464 0.666
O5 O 0.412 0.163 0.220
O6 O 0.418 0.314 0.099
```